# LaIn2Br
Computed powder diffraction line list, Cu Kα. Input: the GGA-PBE geometry in Alexandria.
Neutral-atom scattering factors, no anomalous dispersion.

The 10 most intense peaks (2θ from 10° to 80°), sorted by position:
2θ = 29.1°, I = 36; 2θ = 33.3°, I = 100; 2θ = 36.5°, I = 19; 2θ = 47.3°, I = 18; 2θ = 48.2°, I = 9; 2θ = 54.3°, I = 24; 2θ = 57.3°, I = 10; 2θ = 62.0°, I = 8; 2θ = 63.6°, I = 15; 2θ = 69.9°, I = 11

Crystal structure
a = 3.7729 Å, b = 4.9261 Å, c = 6.1400 Å
α = 90.00°, β = 90.00°, γ = 90.00°
Element x y z (fractional)
La  0.0000  0.0000  0.0000
In  0.0000  0.5000  0.4952
In  0.5000  0.0000  0.5001
Br  0.5000  0.5000  0.9968